Gd2SeOF2: simulated powder diffractogram (Cu Kα), based on a GGA-PBE-relaxed structure.
Neutral-atom scattering factors, no anomalous dispersion.

Peak list (8 most intense, 2θ from 5° to 70°, by angle)
(1 1 0), 2θ = 13.01°, I = 36; (1 3 0), 2θ = 27.29°, I = 100; (1 2 1), 2θ = 30.88°, I = 98; (3 0 1), 2θ = 32.75°, I = 76; (2 2 1), 2θ = 35.37°, I = 45; (1 3 1), 2θ = 36.21°, I = 41; (5 2 0), 2θ = 48.23°, I = 47; (2 5 1), 2θ = 54.25°, I = 40

Structure:
```
data_Gd2SeOF2
_cell_length_a 13.6061
_cell_length_b 13.6061
_cell_length_c 3.8102
_cell_angle_alpha 90.00
_cell_angle_beta 90.00
_cell_angle_gamma 120.00
_space_group_name_H-M_alt 'P 63/m'
_space_group_IT_number 176
_space_group_name_Hall '-P 6c'
loop_
_atom_site_label
_atom_site_type_symbol
_atom_site_fract_x
_atom_site_fract_y
_atom_site_fract_z
Gd1 Gd 0.0555 0.2889 0.2500
Gd2 Gd 0.1179 0.6023 0.2500
Se1 Se 0.2059 0.4874 0.7500
O1 O 0.0146 0.5872 0.7500
F1 F 0.0671 0.7517 0.2500
F2 F 0.1010 0.2072 0.7500
```

***

PrMgZn2: simulated powder diffractogram (Cu Kα), based on a GGA-PBE-relaxed structure.
Neutral-atom scattering factors, no anomalous dispersion.

Peak list (8 most intense, 2θ from 5° to 70°, by angle)
(1 1 1), 2θ = 21.92°, I = 33; (2 0 0), 2θ = 25.37°, I = 1; (2 2 0), 2θ = 36.18°, I = 100; (3 1 1), 2θ = 42.71°, I = 18; (4 0 0), 2θ = 52.10°, I = 17; (3 3 1), 2θ = 57.18°, I = 7; (4 2 2), 2θ = 65.08°, I = 34; (5 1 1), 2θ = 69.57°, I = 6

Structure:
```
data_PrMgZn2
_cell_length_a 7.022
_cell_length_b 7.022
_cell_length_c 7.022
_cell_angle_alpha 90.00
_cell_angle_beta 90.00
_cell_angle_gamma 90.00
_space_group_name_H-M_alt 'F m -3 m'
_space_group_IT_number 225
_space_group_name_Hall '-F 4 2 3'
loop_
_atom_site_label
_atom_site_type_symbol
_atom_site_fract_x
_atom_site_fract_y
_atom_site_fract_z
Pr1 Pr 0.000 0.000 0.000
Mg1 Mg 0.000 0.000 0.500
Zn1 Zn 0.250 0.250 0.250
```

***

Hf6BCl14: simulated powder diffractogram (Cu Kα), based on a GGA-PBE-relaxed structure.
Neutral-atom scattering factors, no anomalous dispersion.

Peak list (8 most intense, 2θ from 5° to 70°, by angle)
(1 1 1), 2θ = 11.96°, I = 100; (2 0 0), 2θ = 12.44°, I = 10; (3 1 2), 2θ = 25.20°, I = 13; (3 3 2), 2θ = 31.94°, I = 9; (0 4 3), 2θ = 36.08°, I = 10; (4 2 3), 2θ = 37.01°, I = 23; (1 5 2), 2θ = 38.45°, I = 13; (5 3 2), 2θ = 41.01°, I = 8

Structure:
```
data_Hf6BCl14
_cell_length_a 14.227
_cell_length_b 13.003
_cell_length_c 11.611
_cell_angle_alpha 90.00
_cell_angle_beta 90.00
_cell_angle_gamma 90.00
_space_group_name_H-M_alt 'C m c e'
_space_group_IT_number 64
_space_group_name_Hall '-C 2ac 2'
loop_
_atom_site_label
_atom_site_type_symbol
_atom_site_fract_x
_atom_site_fract_y
_atom_site_fract_z
Hf1 Hf 0.000 0.146 0.105
Hf2 Hf 0.117 0.068 0.883
B1 B 0.000 0.000 0.000
Cl1 Cl 0.000 0.153 0.740
Cl2 Cl 0.123 0.089 0.245
Cl3 Cl 0.123 0.237 0.989
Cl4 Cl 0.250 0.000 0.000
Cl5 Cl 0.250 0.143 0.750
```

***

RbPH2O4: simulated powder diffractogram (Cu Kα), based on a GGA-PBE-relaxed structure.
Neutral-atom scattering factors, no anomalous dispersion.

Peak list (8 most intense, 2θ from 5° to 70°, by angle)
(2 0 0), 2θ = 23.32°, I = 86; (2 1 1), 2θ = 28.76°, I = 18; (1 1 2), 2θ = 29.05°, I = 100; (2 2 0), 2θ = 33.21°, I = 28; (3 0 1), 2θ = 37.34°, I = 16; (3 1 2), 2θ = 44.69°, I = 53; (4 2 0), 2θ = 53.73°, I = 13; (5 1 2), 2θ = 67.41°, I = 14

Structure:
```
data_RbPH2O4
_cell_length_a 7.630
_cell_length_b 7.630
_cell_length_c 7.481
_cell_angle_alpha 90.00
_cell_angle_beta 90.00
_cell_angle_gamma 90.00
_space_group_name_H-M_alt 'I -4 2 d'
_space_group_IT_number 122
_space_group_name_Hall 'I -4 2bw'
loop_
_atom_site_label
_atom_site_type_symbol
_atom_site_fract_x
_atom_site_fract_y
_atom_site_fract_z
Rb1 Rb 0.000 0.000 0.000
P1 P 0.000 0.000 0.500
H1 H 0.135 0.250 0.625
O1 O 0.092 0.641 0.868
```

***

Cu4SnS4: simulated powder diffractogram (Cu Kα), based on a GGA-PBE-relaxed structure.
Neutral-atom scattering factors, no anomalous dispersion.

Peak list (8 most intense, 2θ from 5° to 70°, by angle)
(4 0 0), 2θ = 26.12°, I = 43; (2 2 0), 2θ = 26.73°, I = 100; (1 0 2), 2θ = 28.49°, I = 38; (1 1 2), 2θ = 30.85°, I = 38; (3 2 1), 2θ = 33.66°, I = 49; (6 2 0), 2θ = 46.47°, I = 39; (0 4 0), 2θ = 47.64°, I = 35; (2 2 3), 2θ = 50.60°, I = 57

Structure:
```
data_Cu4SnS4
_cell_length_a 13.648
_cell_length_b 7.636
_cell_length_c 6.437
_cell_angle_alpha 90.00
_cell_angle_beta 90.00
_cell_angle_gamma 90.00
_space_group_name_H-M_alt 'P n m a'
_space_group_IT_number 62
_space_group_name_Hall '-P 2ac 2n'
loop_
_atom_site_label
_atom_site_type_symbol
_atom_site_fract_x
_atom_site_fract_y
_atom_site_fract_z
Cu1 Cu 0.067 0.250 0.109
Cu2 Cu 0.158 0.250 0.441
Cu3 Cu 0.165 0.511 0.874
Sn1 Sn 0.086 0.750 0.374
S1 S 0.084 0.750 0.760
S2 S 0.087 0.250 0.756
S3 S 0.177 0.007 0.237
```

***

PrHfO4: simulated powder diffractogram (Cu Kα), based on a GGA-PBE-relaxed structure.
Neutral-atom scattering factors, no anomalous dispersion.

Peak list (8 most intense, 2θ from 5° to 70°, by angle)
(2 0 2), 2θ = 28.58°, I = 100; (2 2 0), 2θ = 32.99°, I = 22; (0 0 4), 2θ = 33.38°, I = 11; (4 0 0), 2θ = 47.34°, I = 17; (2 2 4), 2θ = 47.63°, I = 33; (2 4 2), 2θ = 56.24°, I = 30; (2 0 6), 2θ = 56.75°, I = 15; (4 0 4), 2θ = 59.16°, I = 10

Structure:
```
data_PrHfO4
_cell_length_a 7.680
_cell_length_b 7.680
_cell_length_c 10.738
_cell_angle_alpha 90.00
_cell_angle_beta 90.00
_cell_angle_gamma 90.00
_space_group_name_H-M_alt 'P 43'
_space_group_IT_number 78
_space_group_name_Hall 'P 4cw'
loop_
_atom_site_label
_atom_site_type_symbol
_atom_site_fract_x
_atom_site_fract_y
_atom_site_fract_z
Pr1 Pr 0.001 0.249 0.000
Pr2 Pr 0.251 0.499 0.252
Hf1 Hf 0.005 0.238 0.502
Hf2 Hf 0.261 0.498 0.752
O1 O 0.016 0.974 0.876
O2 O 0.031 0.470 0.624
O3 O 0.049 0.550 0.876
O4 O 0.224 0.273 0.634
O5 O 0.245 0.245 0.844
O6 O 0.249 0.748 0.376
O7 O 0.255 0.256 0.412
O8 O 0.473 0.519 0.875
```

***

TbSi: simulated powder diffractogram (Cu Kα), based on a GGA-PBE-relaxed structure.
Neutral-atom scattering factors, no anomalous dispersion.

Peak list (8 most intense, 2θ from 5° to 70°, by angle)
(0 1 1), 2θ = 27.92°, I = 40; (1 1 1), 2θ = 30.14°, I = 100; (2 1 0), 2θ = 32.35°, I = 73; (1 0 2), 2θ = 33.25°, I = 81; (2 1 1), 2θ = 36.04°, I = 42; (3 0 1), 2θ = 37.34°, I = 46; (1 1 2), 2θ = 40.87°, I = 37; (3 1 2), 2θ = 52.69°, I = 34

Structure:
```
data_TbSi
_cell_length_a 7.963
_cell_length_b 3.850
_cell_length_c 5.728
_cell_angle_alpha 90.00
_cell_angle_beta 90.00
_cell_angle_gamma 90.00
_space_group_name_H-M_alt 'P n m a'
_space_group_IT_number 62
_space_group_name_Hall '-P 2ac 2n'
loop_
_atom_site_label
_atom_site_type_symbol
_atom_site_fract_x
_atom_site_fract_y
_atom_site_fract_z
Tb1 Tb 0.179 0.250 0.115
Si1 Si 0.038 0.250 0.628
```

***

Hg2H2C2NCl5: simulated powder diffractogram (Cu Kα), based on a GGA-PBE-relaxed structure.
Neutral-atom scattering factors, no anomalous dispersion.

Peak list (8 most intense, 2θ from 5° to 70°, by angle)
(1 0 0), 2θ = 8.83°, I = 100; (1 0 2), 2θ = 16.07°, I = 19; (1 1 -3), 2θ = 18.94°, I = 29; (2 1 -2), 2θ = 20.56°, I = 16; (1 1 -4), 2θ = 22.71°, I = 24; (0 2 1), 2θ = 24.53°, I = 17; (1 2 1), 2θ = 26.79°, I = 26; (3 1 1), 2θ = 31.64°, I = 17

Structure:
```
data_Hg2H2C2NCl5
_cell_length_a 10.866
_cell_length_b 7.433
_cell_length_c 18.444
_cell_angle_alpha 90.00
_cell_angle_beta 112.85
_cell_angle_gamma 90.00
_space_group_name_H-M_alt 'P 1 21/c 1'
_space_group_IT_number 14
_space_group_name_Hall '-P 2ybc'
loop_
_atom_site_label
_atom_site_type_symbol
_atom_site_fract_x
_atom_site_fract_y
_atom_site_fract_z
Hg1 Hg 0.002 0.126 0.344
Hg2 Hg 0.175 0.135 0.097
H1 H 0.297 0.628 0.798
H2 H 0.481 0.676 0.339
C1 C 0.222 0.715 0.429
C2 C 0.488 0.529 0.882
N1 N 0.396 0.607 0.837
Cl1 Cl 0.098 0.563 0.736
Cl2 Cl 0.135 0.711 0.481
Cl3 Cl 0.209 0.027 0.691
Cl4 Cl 0.215 0.218 0.437
Cl5 Cl 0.465 0.017 0.160
```